Record 1
Theoretical powder X-ray diffraction pattern
Compound: CdH4S2O5
Radiation: Cu Kα (weighted mean of Kα1 and Kα2)
Structure: a PBE-relaxed structure
Peak positions follow from Bragg's law for the DFT cell and can differ from measured ones.

Atomic structure:
```
CdH4S2O5
1.0
5.916 0.000 0.000
0.000 7.229 0.000
-2.976 0.000 13.989
Cd H S O
4 16 8 20
direct
0.133 0.183 0.183
0.133 0.317 0.683
0.867 0.683 0.317
0.867 0.817 0.817
0.208 0.163 0.984
0.208 0.337 0.484
0.264 0.662 0.484
0.264 0.838 0.984
0.292 0.139 0.528
0.292 0.361 0.028
0.357 0.648 0.389
0.357 0.852 0.889
0.643 0.148 0.111
0.643 0.352 0.611
0.708 0.639 0.972
0.708 0.861 0.472
0.736 0.162 0.016
0.736 0.338 0.516
0.792 0.663 0.516
0.792 0.837 0.016
0.005 0.538 0.172
0.005 0.962 0.672
0.301 0.690 0.163
0.301 0.810 0.663
0.699 0.190 0.337
0.699 0.310 0.837
0.995 0.038 0.328
0.995 0.462 0.828
0.212 0.625 0.628
0.212 0.875 0.128
0.230 0.609 0.419
0.230 0.891 0.919
0.270 0.230 0.043
0.270 0.270 0.543
0.405 0.595 0.092
0.405 0.905 0.592
0.454 0.698 0.259
0.454 0.802 0.759
0.546 0.198 0.241
0.546 0.302 0.741
0.595 0.095 0.408
0.595 0.405 0.908
0.730 0.730 0.457
0.730 0.770 0.957
0.770 0.109 0.081
0.770 0.391 0.581
0.788 0.125 0.872
0.788 0.375 0.372
```

Top 12 peaks for 5° ≤ 2θ ≤ 70°, by angle:
two_theta, I/Imax
12.66, 100
15.31, 39
21.62, 44
21.88, 96
24.63, 23
25.45, 85
26.91, 36
29.66, 30
30.53, 24
33.35, 55
36.81, 23
41.22, 22

Record 2
Theoretical powder X-ray diffraction pattern
Compound: Cd2H2SO6
Radiation: Cu Kα (weighted mean of Kα1 and Kα2)
Structure: a PBE-relaxed structure
Peak positions follow from Bragg's law for the DFT cell and can differ from measured ones.

Atomic structure:
```
Cd2H2SO6
1.0
5.906 -3.959 0.000
5.906 3.959 0.000
-2.978 0.000 5.912
Cd H S O
4 4 2 12
direct
0.153 0.346 0.310
0.346 0.153 0.810
0.654 0.847 0.190
0.847 0.654 0.690
0.264 0.543 0.791
0.457 0.736 0.709
0.543 0.264 0.291
0.736 0.457 0.209
0.189 0.811 0.250
0.811 0.189 0.750
0.030 0.186 0.905
0.179 0.445 0.693
0.186 0.030 0.405
0.254 0.664 0.391
0.336 0.746 0.109
0.445 0.179 0.193
0.555 0.821 0.807
0.664 0.254 0.891
0.746 0.336 0.609
0.814 0.970 0.595
0.821 0.555 0.307
0.970 0.814 0.095
```

Top 12 peaks for 5° ≤ 2θ ≤ 70°, by angle:
two_theta, I/Imax
16.81, 78
23.19, 25
25.53, 24
27.12, 42
28.16, 100
29.70, 23
30.23, 26
33.99, 27
35.59, 21
38.02, 23
49.16, 19
52.51, 14

Record 3
Theoretical powder X-ray diffraction pattern
Compound: Cd2H2SO6
Radiation: Cu Kα (weighted mean of Kα1 and Kα2)
Structure: a PBE-relaxed structure
Peak positions follow from Bragg's law for the DFT cell and can differ from measured ones.

Atomic structure:
```
Cd2H2SO6
1.0
7.113 0.000 0.000
0.000 7.624 0.000
-5.765 0.000 10.094
Cd H S O
8 8 4 24
direct
0.152 0.036 0.168
0.152 0.464 0.668
0.332 0.168 0.505
0.332 0.332 0.005
0.668 0.668 0.995
0.668 0.832 0.495
0.848 0.536 0.332
0.848 0.964 0.832
0.070 0.714 0.046
0.070 0.786 0.546
0.237 0.673 0.868
0.237 0.827 0.368
0.763 0.173 0.632
0.763 0.327 0.132
0.930 0.214 0.454
0.930 0.286 0.954
0.309 0.007 0.781
0.309 0.493 0.281
0.691 0.507 0.719
0.691 0.993 0.219
0.033 0.189 0.976
0.033 0.311 0.476
0.163 0.594 0.314
0.163 0.906 0.814
0.241 0.516 0.138
0.241 0.984 0.638
0.301 0.198 0.808
0.301 0.302 0.308
0.320 0.566 0.875
0.320 0.934 0.375
0.464 0.059 0.134
0.464 0.441 0.634
0.536 0.559 0.366
0.536 0.941 0.866
0.680 0.066 0.625
0.680 0.434 0.125
0.699 0.698 0.692
0.699 0.802 0.192
0.759 0.016 0.362
0.759 0.484 0.862
0.837 0.094 0.186
0.837 0.406 0.686
0.967 0.689 0.524
0.967 0.811 0.024
```

Top 12 peaks for 5° ≤ 2θ ≤ 70°, by angle:
two_theta, I/Imax
17.13, 60
18.49, 82
20.02, 27
23.34, 23
27.85, 29
28.23, 38
28.99, 100
29.36, 51
32.99, 26
33.13, 25
34.66, 30
38.15, 23

Record 4
Theoretical powder X-ray diffraction pattern
Compound: CdH2SO5
Radiation: Cu Kα (weighted mean of Kα1 and Kα2)
Structure: a PBE-relaxed structure
Peak positions follow from Bragg's law for the DFT cell and can differ from measured ones.

Atomic structure:
```
CdH2SO5
1.0
7.728 0.000 0.000
0.000 7.530 0.000
-4.474 0.000 7.213
Cd H S O
4 8 4 20
direct
0.222 0.238 0.463
0.222 0.262 0.963
0.778 0.738 0.037
0.778 0.762 0.537
0.205 0.518 0.697
0.205 0.982 0.197
0.423 0.073 0.299
0.423 0.427 0.799
0.577 0.573 0.201
0.577 0.927 0.701
0.795 0.018 0.803
0.795 0.482 0.303
0.258 0.616 0.245
0.258 0.884 0.745
0.742 0.116 0.255
0.742 0.384 0.755
0.113 0.740 0.623
0.113 0.760 0.123
0.143 0.003 0.796
0.143 0.497 0.296
0.275 0.100 0.238
0.275 0.400 0.738
0.332 0.514 0.138
0.332 0.986 0.638
0.434 0.699 0.407
0.434 0.801 0.907
0.566 0.199 0.093
0.566 0.301 0.593
0.668 0.014 0.362
0.668 0.486 0.862
0.725 0.600 0.262
0.725 0.900 0.762
0.857 0.503 0.704
0.857 0.997 0.204
0.887 0.240 0.877
0.887 0.260 0.377
```

Top 12 peaks for 5° ≤ 2θ ≤ 70°, by angle:
two_theta, I/Imax
17.92, 59
23.63, 23
24.08, 100
26.71, 14
27.16, 43
27.42, 11
34.44, 33
34.88, 10
37.03, 28
38.39, 16
41.84, 20
43.04, 16

Record 5
Theoretical powder X-ray diffraction pattern
Compound: CdH2SeO5
Radiation: Cu Kα (weighted mean of Kα1 and Kα2)
Structure: a PBE-relaxed structure
Peak positions follow from Bragg's law for the DFT cell and can differ from measured ones.

Atomic structure:
```
CdH2SeO5
1.0
7.926 0.000 0.000
0.000 7.818 0.000
-4.619 0.000 7.217
Cd H Se O
4 8 4 20
direct
0.211 0.237 0.454
0.211 0.263 0.954
0.789 0.737 0.046
0.789 0.763 0.546
0.203 0.506 0.689
0.203 0.994 0.189
0.418 0.076 0.301
0.418 0.424 0.801
0.582 0.576 0.199
0.582 0.924 0.699
0.797 0.006 0.811
0.797 0.494 0.311
0.263 0.617 0.247
0.263 0.883 0.747
0.737 0.117 0.253
0.737 0.383 0.753
0.109 0.723 0.612
0.109 0.777 0.112
0.118 0.010 0.783
0.118 0.490 0.283
0.273 0.107 0.233
0.273 0.393 0.733
0.347 0.509 0.130
0.347 0.991 0.630
0.457 0.698 0.440
0.457 0.802 0.940
0.543 0.198 0.060
0.543 0.302 0.560
0.653 0.009 0.370
0.653 0.491 0.870
0.727 0.607 0.267
0.727 0.893 0.767
0.882 0.510 0.717
0.882 0.990 0.217
0.891 0.223 0.888
0.891 0.277 0.388
```

Top 12 peaks for 5° ≤ 2θ ≤ 70°, by angle:
two_theta, I/Imax
16.73, 27
17.47, 20
22.75, 17
23.68, 100
25.25, 15
25.92, 30
26.71, 44
32.23, 14
33.81, 34
36.00, 43
37.03, 23
53.32, 26

Record 6
Theoretical powder X-ray diffraction pattern
Compound: CdH2SeO4
Radiation: Cu Kα (weighted mean of Kα1 and Kα2)
Structure: a PBE-relaxed structure
Peak positions follow from Bragg's law for the DFT cell and can differ from measured ones.

Atomic structure:
```
CdH2SeO4
1.0
13.432 0.000 0.000
0.000 6.045 0.000
0.000 0.000 5.119
Cd H Se O
4 8 4 16
direct
0.228 0.250 0.098
0.272 0.750 0.598
0.728 0.250 0.402
0.772 0.750 0.902
0.111 0.121 0.537
0.111 0.379 0.537
0.389 0.621 0.037
0.389 0.879 0.037
0.611 0.121 0.963
0.611 0.379 0.963
0.889 0.621 0.463
0.889 0.879 0.463
0.093 0.750 0.010
0.407 0.250 0.510
0.593 0.750 0.490
0.907 0.250 0.990
0.102 0.250 0.421
0.135 0.750 0.321
0.159 0.532 0.857
0.159 0.968 0.857
0.341 0.032 0.357
0.341 0.468 0.357
0.365 0.250 0.821
0.398 0.750 0.921
0.602 0.250 0.079
0.635 0.750 0.179
0.659 0.532 0.643
0.659 0.968 0.643
0.841 0.032 0.143
0.841 0.468 0.143
0.865 0.250 0.679
0.898 0.750 0.579
```

Top 12 peaks for 5° ≤ 2θ ≤ 70°, by angle:
two_theta, I/Imax
13.18, 41
18.55, 24
19.76, 9
22.76, 10
26.41, 23
29.56, 29
30.38, 100
35.09, 11
40.59, 10
47.04, 16
50.77, 15
52.96, 20

Record 7
Theoretical powder X-ray diffraction pattern
Compound: Hf2Cd
Radiation: Cu Kα (weighted mean of Kα1 and Kα2)
Structure: a PBE-relaxed structure
Peak positions follow from Bragg's law for the DFT cell and can differ from measured ones.

Atomic structure:
```
Hf2Cd
1.0
-1.641 1.641 6.136
1.641 -1.641 6.136
1.641 1.641 -6.136
Hf Cd
2 1
direct
0.169 0.169 0.000
0.831 0.831 0.000
0.500 0.500 0.000
```

Top 12 peaks for 5° ≤ 2θ ≤ 70°, by angle:
two_theta, I/Imax
14.44, 4
28.15, 3
35.06, 100
38.81, 38
41.61, 1
44.29, 13
46.19, 1
56.05, 13
58.21, 1
60.33, 21
63.89, 1
67.85, 29

Which formula does entry 5 have? CdH2SeO5